Diffraction record for VOF. The PXRD pattern is calculated, not measured: it uses a structure optimized by DFT (GGA+U) and Cu Ka.
No peak broadening, texture or thermal motion is included.

Cell and atoms:
```
6
Lattice="3.1540 0.0000 0.0000 0.0000 6.2738 0.0000 -3.1390 0.0000 3.8732" Properties=species:S:1:pos:R:3 pbc="T T T"
V -0.7847 0.9530 0.9683
V -2.3542 5.3208 2.9049
O -0.7773 0.4239 2.9049
O 0.7922 5.8500 0.9683
F 0.7922 2.2132 0.9683
F -0.7773 4.0606 2.9049
```

Largest 12 diffraction maxima, in order of rising 2θ, 10° ≤ 2θ ≤ 90°:
2θ/deg	I (rel.)
14.12	100
27.06	92
31.75	24
39.48	8
40.56	71
46.92	26
57.98	17
58.08	17
58.53	12
63.62	15
63.81	15
80.46	8

---

Diffraction record for Ba2LaCrO6. The PXRD pattern is calculated, not measured: it uses a structure optimized by DFT (GGA+U) and Cu Ka.
No peak broadening, texture or thermal motion is included.

Cell and atoms:
```
10
Lattice="0.0000 4.2665 4.2665 4.2665 0.0000 4.2665 4.2665 4.2665 0.0000" Properties=species:S:1:pos:R:3 pbc="T T T"
Ba 2.1333 2.1333 2.1333
Ba 6.3998 6.3998 6.3998
La 0.0000 0.0000 0.0000
Cr 4.2665 4.2665 4.2665
O 4.2665 4.2665 2.3555
O 4.2665 2.3555 4.2665
O 6.1776 4.2665 4.2665
O 2.3555 4.2665 4.2665
O 4.2665 6.1776 4.2665
O 4.2665 4.2665 6.1776
```

Largest 12 diffraction maxima, in order of rising 2θ, 10° ≤ 2θ ≤ 90°:
2θ/deg	I (rel.)
18.01	5
29.61	100
34.87	6
36.48	6
42.37	30
46.38	4
52.54	39
61.47	18
69.69	18
77.50	6
85.08	21
87.89	2